Li2CeTl: calculated X-ray diffraction stick pattern (CuKα), based on a DFT-relaxed cell (PBE, the Materials Project).

Atomic structure:
Cell: 7.0511 7.0511 7.0511 Å, 90.00 90.00 90.00°
Space group Fm-3m (No. 225)
Asymmetric unit:
Li1 0.2500 0.2500 0.2500 [8 per cell]
Ce1 0.0000 0.0000 0.0000 [4 per cell]
Tl1 0.0000 0.0000 0.5000 [4 per cell]

Principal peaks in the range 2θ from 5° to 70°, most intense first:
d 3.526, rel. 100.0, hkl 2 0 0; d 2.493, rel. 90.5, hkl 2 2 0; d 1.577, rel. 39.9, hkl 4 2 0; d 1.439, rel. 33.2, hkl 4 2 2; d 2.035, rel. 29.7, hkl 2 2 2; d 1.763, rel. 16.1, hkl 4 0 0; d 4.071, rel. 5.9, hkl 1 1 1; d 2.126, rel. 3.5, hkl 3 1 1; d 1.618, rel. 1.6, hkl 3 3 1; d 1.357, rel. 1.2, hkl 5 1 1

LiHfMg6: calculated X-ray diffraction stick pattern (CuKα), based on a DFT-relaxed cell (PBE, the Materials Project).

Atomic structure:
Cell: 5.0704 6.3304 11.0326 Å, 90.00 90.00 90.00°
Space group Amm2 (No. 38)
Asymmetric unit:
Li1 0.0000 0.0000 0.0000 [2 per cell]
Hf1 0.5000 0.0000 0.8333 [2 per cell]
Mg1 0.0000 0.0000 0.5010 [2 per cell]
Mg2 0.0000 0.2454 0.7526 [4 per cell]
Mg3 0.5000 0.0000 0.3324 [2 per cell]
Mg4 0.5000 0.2456 0.0852 [4 per cell]

Principal peaks in the range 2θ from 5° to 70°, most intense first:
d 5.501, rel. 100.0, hkl 0 0 2; d 3.727, rel. 85.9, hkl 1 1 1; d 2.414, rel. 72.0, hkl 1 2 2; d 5.070, rel. 36.7, hkl 1 0 0; d 2.423, rel. 35.5, hkl 1 0 4; d 2.745, rel. 27.5, hkl 0 2 2; d 2.535, rel. 25.2, hkl 2 0 0; d 3.180, rel. 23.9, hkl 0 1 3; d 2.302, rel. 22.8, hkl 2 0 2; d 1.440, rel. 20.7, hkl 3 2 2; d 1.926, rel. 19.1, hkl 1 1 5; d 1.863, rel. 17.7, hkl 2 2 2

Mg6Si5: calculated X-ray diffraction stick pattern (CuKα), based on a DFT-relaxed cell (PBE, the Materials Project).

Atomic structure:
Cell: 5.2973 5.4027 14.5825 Å, 83.07 79.59 83.32°
Space group P1 (No. 1)
Asymmetric unit:
Mg1 0.0000 0.0000 0.0000 [1 per cell]
Mg2 0.0006 0.1947 0.4577 [1 per cell]
Mg3 0.0474 0.4869 0.1100 [1 per cell]
Mg4 0.1304 0.6856 0.3475 [1 per cell]
Mg5 0.3362 0.9252 0.6032 [1 per cell]
Mg6 0.3633 0.0619 0.8113 [1 per cell]
Mg7 0.4459 0.8297 0.1552 [1 per cell]
Mg8 0.4604 0.4550 0.4920 [1 per cell]
Mg9 0.5684 0.9971 0.3701 [1 per cell]
Mg10 0.5974 0.6506 0.9645 [1 per cell]
Mg11 0.8741 0.6860 0.5621 [1 per cell]
Mg12 0.9084 0.8075 0.7669 [1 per cell]
Si1 0.1359 0.5136 0.9166 [1 per cell]
Si2 0.1407 0.2006 0.2689 [1 per cell]
Si3 0.1628 0.3753 0.6736 [1 per cell]
Si4 0.4492 0.5687 0.7702 [1 per cell]
Si5 0.4843 0.1626 0.9874 [1 per cell]
Si6 0.5478 0.3208 0.1523 [1 per cell]
Si7 0.6961 0.5169 0.2982 [1 per cell]
Si8 0.7464 0.1992 0.6388 [1 per cell]
Si9 0.8182 0.2709 0.8462 [1 per cell]
Si10 0.9026 0.9525 0.1921 [1 per cell]

Principal peaks in the range 2θ from 5° to 70°, most intense first:
d 2.458, rel. 100.0, hkl -1 1 4; d 2.251, rel. 80.4, hkl 1 -2 1; d 2.416, rel. 66.1, hkl 0 1 -5; d 2.476, rel. 45.1, hkl 1 2 2; d 2.221, rel. 33.5, hkl 1 2 4; d 2.370, rel. 21.8, hkl 1 2 3; d 2.166, rel. 21.7, hkl 2 1 -2; d 14.268, rel. 21.4, hkl 0 0 1; d 2.104, rel. 21.1, hkl 2 0 5; d 2.580, rel. 18.4, hkl 2 0 2; d 2.289, rel. 15.5, hkl 2 0 4; d 2.590, rel. 15.1, hkl 0 2 2

Sr2TbHfO6: calculated X-ray diffraction stick pattern (CuKα), based on a DFT-relaxed cell (PBE, the Materials Project).

Atomic structure:
Cell: 8.4982 8.4982 8.4982 Å, 90.00 90.00 90.00°
Space group Pn-3 (No. 201, origin choice 2)
Asymmetric unit:
Sr1 0.2500 0.2500 0.2500 [2 per cell]
Sr2 0.2500 0.2500 0.7500 [6 per cell]
Tb1 0.0000 0.0000 0.0000 [4 per cell]
Hf1 0.0000 0.0000 0.5000 [4 per cell]
O1 0.0351 0.5421 0.7605 [24 per cell]

Principal peaks in the range 2θ from 5° to 70°, most intense first:
d 3.005, rel. 100.0, hkl 2 2 0; d 1.735, rel. 45.0, hkl 4 2 2; d 2.125, rel. 27.6, hkl 4 0 0; d 4.249, rel. 17.7, hkl 2 0 0; d 1.502, rel. 16.5, hkl 4 4 0; d 1.900, rel. 7.9, hkl 4 2 0; d 1.416, rel. 3.3, hkl 4 4 2; d 2.453, rel. 1.1, hkl 2 2 2; d 2.687, rel. 0.6, hkl 3 0 1; d 4.906, rel. 0.6, hkl 1 1 1; d 2.271, rel. 0.6, hkl 3 1 2

EuTa3O9: calculated X-ray diffraction stick pattern (CuKα), based on a DFT-relaxed cell (PBE, the Materials Project).

Atomic structure:
Cell: 16.7300 5.5880 9.7172 Å, 90.00 125.04 90.00°
Space group C2/m (No. 12)
Asymmetric unit:
Eu1 0.1670 0.0000 0.0003 [4 per cell]
Ta1 0.0775 0.5000 0.7423 [4 per cell]
Ta2 0.0843 0.0000 0.2525 [4 per cell]
Ta3 0.2493 0.0000 0.7387 [4 per cell]
O1 0.0000 0.0000 0.0000 [2 per cell]
O2 0.0000 0.5000 0.5000 [2 per cell]
O3 0.0094 0.2403 0.7672 [8 per cell]
O4 0.1646 0.2405 0.2327 [8 per cell]
O5 0.1661 0.0000 0.4983 [4 per cell]
O6 0.1727 0.5000 0.0001 [4 per cell]
O7 0.1753 0.2499 0.7756 [8 per cell]

Principal peaks in the range 2θ from 5° to 70°, most intense first:
d 2.802, rel. 100.0, hkl 3 1 1; d 3.947, rel. 57.7, hkl 3 1 -1; d 2.791, rel. 50.6, hkl 0 2 0; d 1.974, rel. 30.9, hkl 6 2 -2; d 3.977, rel. 30.3, hkl 0 0 2; d 1.620, rel. 20.4, hkl 0 2 4; d 1.612, rel. 20.3, hkl 9 1 -1; d 1.615, rel. 20.2, hkl 3 3 1; d 1.401, rel. 18.2, hkl 6 2 2; d 7.945, rel. 18.0, hkl 0 0 1; d 1.768, rel. 17.7, hkl 3 3 -1; d 3.537, rel. 16.1, hkl 3 1 0

Rb3PuH4O7: calculated X-ray diffraction stick pattern (CuKα), based on a DFT-relaxed cell (PBE, the Materials Project).

Atomic structure:
Cell: 6.6222 11.5273 13.7032 Å, 90.00 118.04 90.00°
Space group P2_1/c (No. 14)
Asymmetric unit:
Rb1 0.0122 0.2211 0.2437 [4 per cell]
Rb2 0.2598 0.6213 0.0538 [4 per cell]
Rb3 0.4660 0.5368 0.6372 [4 per cell]
Pu1 0.3724 0.2069 0.5912 [4 per cell]
H1 0.0208 0.1181 0.0508 [4 per cell]
H2 0.0704 0.0764 0.9187 [4 per cell]
H3 0.0823 0.5405 0.7075 [4 per cell]
H4 0.3050 0.5222 0.8685 [4 per cell]
O1 0.0531 0.1687 0.0019 [4 per cell]
O2 0.0602 0.0158 0.8620 [4 per cell]
O3 0.1975 0.1153 0.6397 [4 per cell]
O4 0.2647 0.1133 0.4604 [4 per cell]
O5 0.3146 0.5798 0.8179 [4 per cell]
O6 0.4541 0.7012 0.4572 [4 per cell]
O7 0.4830 0.2029 0.2236 [4 per cell]

Principal peaks in the range 2θ from 5° to 70°, most intense first:
d 3.421, rel. 100.0, hkl 1 0 -4; d 5.355, rel. 94.3, hkl 0 1 2; d 3.310, rel. 83.6, hkl 2 0 -2; d 5.764, rel. 83.5, hkl 0 2 0; d 5.161, rel. 63.7, hkl 1 1 -2; d 3.662, rel. 63.2, hkl 0 3 1; d 3.467, rel. 59.6, hkl 1 0 2; d 3.243, rel. 52.3, hkl 0 3 2; d 2.971, rel. 48.8, hkl 1 2 2; d 5.845, rel. 48.1, hkl 1 0 0; d 5.212, rel. 46.9, hkl 1 1 0; d 2.922, rel. 44.0, hkl 1 3 1

KAlBP2O9: calculated X-ray diffraction stick pattern (CuKα), based on a DFT-relaxed cell (PBE, the Materials Project).

Atomic structure:
Cell: 9.3882 8.2899 9.4281 Å, 90.00 103.04 90.00°
Space group P2_1/c (No. 14)
Asymmetric unit:
K1 0.1997 0.0963 0.0698 [4 per cell]
Al1 0.2068 0.6521 0.9347 [4 per cell]
B1 0.3344 0.0574 0.6927 [4 per cell]
P1 0.0691 0.5661 0.2047 [4 per cell]
P2 0.4182 0.7410 0.7239 [4 per cell]
O1 0.0803 0.5114 0.8062 [4 per cell]
O2 0.0804 0.6646 0.0704 [4 per cell]
O3 0.1090 0.6601 0.3484 [4 per cell]
O4 0.1857 0.0809 0.7236 [4 per cell]
O5 0.2947 0.0415 0.5358 [4 per cell]
O6 0.3395 0.6320 0.8123 [4 per cell]
O7 0.3515 0.7208 0.5619 [4 per cell]
O8 0.4137 0.2072 0.7407 [4 per cell]
O9 0.4152 0.5777 0.2716 [4 per cell]

Principal peaks in the range 2θ from 5° to 70°, most intense first:
d 6.145, rel. 100.0, hkl 1 1 0; d 3.383, rel. 72.7, hkl 1 2 1; d 2.790, rel. 65.4, hkl 2 2 1; d 2.924, rel. 60.8, hkl 1 1 -3; d 3.775, rel. 47.5, hkl 1 2 0; d 3.682, rel. 47.1, hkl 2 0 -2; d 4.590, rel. 46.8, hkl 0 0 2; d 4.535, rel. 35.6, hkl 1 0 -2; d 2.913, rel. 34.6, hkl 3 1 -1; d 2.861, rel. 32.7, hkl 3 1 0; d 2.700, rel. 23.7, hkl 3 1 -2; d 2.008, rel. 20.4, hkl 4 1 -3

Number 2 is which compound?
LiHfMg6